# LuGaNi2
Calculated X-ray powder pattern, Cu Kα, 1.54184 Å. Input: the PBE geometry in the Materials Project.

Top 12 peaks for 2θ = 10–90°, by intensity:
h k l, d_spacing, two_theta, I (rel.)
1 1 4, 2.153, 41.95, 100
1 0 5, 2.580, 34.77, 75
1 1 0, 2.566, 34.97, 64
2 0 1, 2.200, 41.02, 37
2 1 5, 1.484, 62.59, 27
2 2 0, 1.283, 73.88, 24
3 0 4, 1.387, 67.51, 24
2 0 3, 2.048, 44.22, 24
1 1 10, 1.348, 69.74, 21
2 0 9, 1.380, 67.93, 14
2 0 0, 2.222, 40.60, 14
1 0 7, 2.017, 44.94, 13

Atomic structure:
```
LuGaNi2
1.0
5.1313 0.0000 0.0000
-2.5657 4.4439 0.0000
0.0000 0.0000 15.8456
Lu Ga Ni
6 6 12
direct
0.3333 0.6667 0.0424 Lu
0.3333 0.6667 0.2500 Lu
0.3333 0.6667 0.4576 Lu
0.6667 0.3333 0.5424 Lu
0.6667 0.3333 0.7500 Lu
0.6667 0.3333 0.9576 Lu
0.0000 0.0000 0.0000 Ga
0.0000 0.0000 0.2500 Ga
0.0000 0.0000 0.5000 Ga
0.0000 0.0000 0.7500 Ga
0.3333 0.6667 0.7500 Ga
0.6667 0.3333 0.2500 Ga
0.1685 0.3370 0.6257 Ni
0.1685 0.3370 0.8743 Ni
0.1685 0.8315 0.6257 Ni
0.1685 0.8315 0.8743 Ni
0.3370 0.1685 0.1257 Ni
0.3370 0.1685 0.3743 Ni
0.6630 0.8315 0.6257 Ni
0.6630 0.8315 0.8743 Ni
0.8315 0.1685 0.1257 Ni
0.8315 0.1685 0.3743 Ni
0.8315 0.6630 0.1257 Ni
0.8315 0.6630 0.3743 Ni
```